Theoretical XRD peak list
Compound: Sm2SbPt8
Radiation: copper Kα
Structure: a GGA-PBE-relaxed structure

Peak list (6 most intense, 2θ from 10° to 80°, low angle first)
- 5.328 Å, I = 273
- 2.463 Å, I = 1000
- 2.364 Å, I = 252
- 2.347 Å, I = 346
- 2.163 Å, I = 494
- 2.074 Å, I = 531

Structure:
```
data_Sm2SbPt8
_chemical_formula_sum 'Sm2 Sb1 Pt8'
_symmetry_space_group_name_H-M 'P 1'
_symmetry_Int_Tables_number 1
_cell_length_a 4.3267
_cell_length_b 9.3038
_cell_length_c 9.3038
_cell_angle_alpha 145.06
_cell_angle_beta 90.00
_cell_angle_gamma 90.00
loop_
_symmetry_equiv_pos_as_xyz
'x,y,z'
loop_
_atom_site_label
_atom_site_type_symbol
_atom_site_fract_x
_atom_site_fract_y
_atom_site_fract_z
Sm1 Sm 0.0000 0.1292 0.8708
Sm2 Sm 0.0000 0.8708 0.1292
Sb1 Sb 0.5000 0.3102 0.3102
Pt1 Pt 0.0000 0.3161 0.7248
Pt2 Pt 0.0000 0.5791 0.5791
Pt3 Pt 0.0000 0.7248 0.3161
Pt4 Pt 0.5000 0.0257 0.5142
Pt5 Pt 0.5000 0.4483 0.6837
Pt6 Pt 0.5000 0.5142 0.0257
Pt7 Pt 0.5000 0.6837 0.4483
Pt8 Pt 0.5000 0.8774 0.8774
```

=====

Theoretical XRD peak list
Compound: Sn14Sb11Pt8
Radiation: copper Kα
Structure: a GGA-PBE-relaxed structure

Peak list (6 most intense, 2θ from 10° to 80°, low angle first)
- 4.760 Å, I = 567
- 3.010 Å, I = 583
- 2.997 Å, I = 1000
- 2.123 Å, I = 518
- 2.117 Å, I = 400
- 1.938 Å, I = 438

Structure:
```
data_Sn14Sb11Pt8
_chemical_formula_sum 'Sn14 Sb11 Pt8'
_symmetry_space_group_name_H-M 'P 1'
_symmetry_Int_Tables_number 1
_cell_length_a 9.4667
_cell_length_b 9.4990
_cell_length_c 9.5409
_cell_angle_alpha 90.30
_cell_angle_beta 90.27
_cell_angle_gamma 90.20
loop_
_symmetry_equiv_pos_as_xyz
'x,y,z'
loop_
_atom_site_label
_atom_site_type_symbol
_atom_site_fract_x
_atom_site_fract_y
_atom_site_fract_z
Sn1 Sn 0.0000 0.0000 0.0000
Sn2 Sn 0.9998 0.8464 0.3428
Sn3 Sn 0.1520 0.6628 0.6837
Sn4 Sn 0.1540 0.3567 0.6834
Sn5 Sn 0.3074 0.8411 0.3437
Sn6 Sn 0.3133 0.0028 0.9984
Sn7 Sn 0.4909 0.3534 0.8416
Sn8 Sn 0.4946 0.5041 0.1922
Sn9 Sn 0.6492 0.1726 0.2102
Sn10 Sn 0.6542 0.1584 0.5178
Sn11 Sn 0.6797 0.0865 0.9067
Sn12 Sn 0.8059 0.6730 0.8409
Sn13 Sn 0.8147 0.5049 0.4981
Sn14 Sn 0.8197 0.3644 0.8344
Sb1 Sb 0.0017 0.0060 0.6906
Sb2 Sb 0.1511 0.3508 0.9951
Sb3 Sb 0.1515 0.6613 0.9983
Sb4 Sb 0.3070 0.1551 0.3405
Sb5 Sb 0.3154 0.0052 0.6916
Sb6 Sb 0.4980 0.5035 0.4986
Sb7 Sb 0.4997 0.6637 0.8446
Sb8 Sb 0.6527 0.8552 0.1851
Sb9 Sb 0.6541 0.8531 0.4971
Sb10 Sb 0.8075 0.5027 0.1897
Sb11 Sb 0.9970 0.1578 0.3382
Pt1 Pt 0.3992 0.2550 0.5905
Pt2 Pt 0.4002 0.2559 0.0935
Pt3 Pt 0.4045 0.7528 0.0942
Pt4 Pt 0.4060 0.7555 0.5944
Pt5 Pt 0.8997 0.2530 0.0886
Pt6 Pt 0.9009 0.7514 0.0953
Pt7 Pt 0.9021 0.7598 0.5919
Pt8 Pt 0.9095 0.2533 0.5890
```

=====

Theoretical XRD peak list
Compound: SnSbPt2
Radiation: copper Kα
Structure: a GGA-PBE-relaxed structure

Peak list (6 most intense, 2θ from 10° to 80°, low angle first)
- 3.623 Å, I = 507
- 3.033 Å, I = 422
- 2.201 Å, I = 1000
- 2.092 Å, I = 662
- 1.516 Å, I = 313
- 1.228 Å, I = 316

Structure:
```
data_SnSbPt2
_chemical_formula_sum 'Sn1 Sb1 Pt2'
_symmetry_space_group_name_H-M 'P 1'
_symmetry_Int_Tables_number 1
_cell_length_a 4.1837
_cell_length_b 4.1837
_cell_length_c 5.5419
_cell_angle_alpha 90.00
_cell_angle_beta 90.00
_cell_angle_gamma 120.00
loop_
_symmetry_equiv_pos_as_xyz
'x,y,z'
loop_
_atom_site_label
_atom_site_type_symbol
_atom_site_fract_x
_atom_site_fract_y
_atom_site_fract_z
Sn1 Sn 0.0000 0.0000 0.0000
Sb1 Sb 0.3333 0.6667 0.5000
Pt1 Pt 0.6667 0.3333 0.2501
Pt2 Pt 0.6667 0.3333 0.7499
```

=====

Theoretical XRD peak list
Compound: SrSnSbPt2
Radiation: copper Kα
Structure: a GGA-PBE-relaxed structure

Peak list (6 most intense, 2θ from 10° to 80°, low angle first)
- 5.336 Å, I = 634
- 2.853 Å, I = 1000
- 2.788 Å, I = 769
- 2.373 Å, I = 727
- 2.326 Å, I = 845
- 2.107 Å, I = 690

Structure:
```
data_SrSnSbPt2
_chemical_formula_sum 'Sr2 Sn2 Sb2 Pt4'
_symmetry_space_group_name_H-M 'P 1'
_symmetry_Int_Tables_number 1
_cell_length_a 4.7482
_cell_length_b 4.6525
_cell_length_c 10.6792
_cell_angle_alpha 90.00
_cell_angle_beta 92.09
_cell_angle_gamma 90.00
loop_
_symmetry_equiv_pos_as_xyz
'x,y,z'
loop_
_atom_site_label
_atom_site_type_symbol
_atom_site_fract_x
_atom_site_fract_y
_atom_site_fract_z
Sr1 Sr 0.2380 0.2500 0.2437
Sr2 Sr 0.7620 0.7500 0.7563
Sn1 Sn 0.2472 0.7500 0.4983
Sn2 Sn 0.7528 0.2500 0.5017
Sb1 Sb 0.2945 0.2500 0.8778
Sb2 Sb 0.7055 0.7500 0.1222
Pt1 Pt 0.1925 0.7500 0.9980
Pt2 Pt 0.2633 0.2500 0.6291
Pt3 Pt 0.7367 0.7500 0.3709
Pt4 Pt 0.8075 0.2500 0.0020
```

=====

Theoretical XRD peak list
Compound: Ta3Sb5Pt5
Radiation: copper Kα
Structure: a GGA-PBE-relaxed structure

Peak list (6 most intense, 2θ from 10° to 80°, low angle first)
- 3.600 Å, I = 1000
- 2.216 Å, I = 667
- 2.209 Å, I = 593
- 2.189 Å, I = 274
- 2.186 Å, I = 289
- 1.901 Å, I = 186

Structure:
```
data_Ta3Sb5Pt5
_chemical_formula_sum 'Ta3 Sb5 Pt5'
_symmetry_space_group_name_H-M 'P 1'
_symmetry_Int_Tables_number 1
_cell_length_a 7.5996
_cell_length_b 7.5996
_cell_length_c 9.7547
_cell_angle_alpha 129.80
_cell_angle_beta 129.80
_cell_angle_gamma 49.25
loop_
_symmetry_equiv_pos_as_xyz
'x,y,z'
loop_
_atom_site_label
_atom_site_type_symbol
_atom_site_fract_x
_atom_site_fract_y
_atom_site_fract_z
Ta1 Ta 0.0000 0.0000 0.0000
Ta2 Ta 0.1955 0.2043 0.5976
Ta3 Ta 0.7957 0.8045 0.4024
Sb1 Sb 0.1050 0.1272 0.8263
Sb2 Sb 0.3222 0.3323 0.4232
Sb3 Sb 0.5080 0.4920 0.0000
Sb4 Sb 0.6677 0.6778 0.5768
Sb5 Sb 0.8728 0.8950 0.1737
Pt1 Pt 0.0487 0.5598 0.8834
Pt2 Pt 0.2039 0.7961 0.5000
Pt3 Pt 0.4402 0.9513 0.1166
Pt4 Pt 0.6531 0.1217 0.6947
Pt5 Pt 0.8783 0.3469 0.3053
```

=====

Theoretical XRD peak list
Compound: Zr3Sb4Pt3
Radiation: copper Kα
Structure: a GGA-PBE-relaxed structure

Peak list (6 most intense, 2θ from 10° to 80°, low angle first)
- 3.864 Å, I = 341
- 2.530 Å, I = 1000
- 2.116 Å, I = 391
- 1.932 Å, I = 129
- 1.856 Å, I = 217
- 1.728 Å, I = 171

Structure:
```
data_Zr3Sb4Pt3
_chemical_formula_sum 'Zr6 Sb8 Pt6'
_symmetry_space_group_name_H-M 'P 1'
_symmetry_Int_Tables_number 1
_cell_length_a 8.1971
_cell_length_b 8.1971
_cell_length_c 8.1971
_cell_angle_alpha 109.47
_cell_angle_beta 109.47
_cell_angle_gamma 109.47
loop_
_symmetry_equiv_pos_as_xyz
'x,y,z'
loop_
_atom_site_label
_atom_site_type_symbol
_atom_site_fract_x
_atom_site_fract_y
_atom_site_fract_z
Zr1 Zr 0.1250 0.8750 0.2500
Zr2 Zr 0.2500 0.1250 0.8750
Zr3 Zr 0.3750 0.6250 0.7500
Zr4 Zr 0.6250 0.7500 0.3750
Zr5 Zr 0.7500 0.3750 0.6250
Zr6 Zr 0.8750 0.2500 0.1250
Sb1 Sb 0.0000 0.1861 0.5000
Sb2 Sb 0.0000 0.6861 0.5000
Sb3 Sb 0.1861 0.5000 0.0000
Sb4 Sb 0.3139 0.3139 0.3139
Sb5 Sb 0.5000 0.0000 0.1861
Sb6 Sb 0.5000 0.0000 0.6861
Sb7 Sb 0.6861 0.5000 0.0000
Sb8 Sb 0.8139 0.8139 0.8139
Pt1 Pt 0.1250 0.7500 0.8750
Pt2 Pt 0.2500 0.6250 0.3750
Pt3 Pt 0.3750 0.2500 0.6250
Pt4 Pt 0.6250 0.3750 0.2500
Pt5 Pt 0.7500 0.8750 0.1250
Pt6 Pt 0.8750 0.1250 0.7500
```